The following is a theoretical powder diffractogram of CsNp4Co3S12. It was derived from a PBE-relaxed structure, using Cu Kα (weighted mean of Kα1 and Kα2).

Structural model:
abc: 8.3617 8.3617 8.3617
angles: 109.47 109.47 109.47
Fractional coordinates of all 20 atoms:
Cs 0.0000 0.0000 0.0000
Np 0.0000 0.0000 0.5000
Np 0.0000 0.5000 0.0000
Np 0.5000 0.0000 0.0000
Np 0.5000 0.5000 0.5000
Co 0.0000 0.5000 0.5000
Co 0.5000 0.0000 0.5000
Co 0.5000 0.5000 0.0000
S 0.1643 0.3328 0.4971
S 0.1643 0.6672 0.8315
S 0.1685 0.8357 0.3328
S 0.3328 0.1685 0.8357
S 0.3328 0.4971 0.1643
S 0.4971 0.1643 0.3328
S 0.5029 0.8357 0.6672
S 0.6672 0.5029 0.8357
S 0.6672 0.8315 0.1643
S 0.8315 0.1643 0.6672
S 0.8357 0.3328 0.1685
S 0.8357 0.6672 0.5029

Most intense lines, 10° ≤ 2θ ≤ 90°, low angle first:
2θ/deg	Rel. int.
18.38	31
26.10	100
32.11	8
37.25	23
41.84	23
46.05	60
53.70	14
60.66	23
73.38	23
85.30	18